Computed X-ray diffraction stick pattern
Compound: Li2ZrSO8
Radiation: Cu Kα (weighted mean of Kα1 and Kα2)
Structure: a crystal structure in Alexandria, relaxed with PBE
Lines closer than 0.1° are merged.

```
data_Li2ZrSO8
_chemical_formula_sum 'Li2 Zr1 S1 O8'
_symmetry_space_group_name_H-M 'P -3 m 1'
_symmetry_Int_Tables_number 164
_symmetry_space_group_name_Hall '-P 3 2"'
_cell_length_a 5.0817
_cell_length_b 5.0817
_cell_length_c 5.5711
_cell_angle_alpha 90.00
_cell_angle_beta 90.00
_cell_angle_gamma 120.00
loop_
_atom_site_label
_atom_site_fract_x
_atom_site_fract_y
_atom_site_fract_z
_atom_site_occupancy
Li1 0.3333 0.6667 0.4740 1
Zr1 0.0000 0.0000 0.0000 1
S1 0.0000 0.0000 0.5000 1
O1 0.1504 0.3008 0.6779 1
O2 0.3333 0.6667 0.0569 1
```

Main lines, in order of rising 2θ (5° ≤ 2θ ≤ 70°):
(hkl), 2θ (°), Rel. int.
1 0 0, 20.2, 100.0
1 0 1, 25.8, 7.3
1 1 0, 35.3, 24.5
0 1 2, 38.2, 19.0
1 1 1, 39.0, 16.9
2 0 1, 44.3, 15.3
1 1 2, 48.5, 30.3
0 2 2, 53.0, 15.1
2 1 0, 55.2, 6.6
1 2 2, 65.3, 11.2